For Ba2MgMn2P4O14, a PBE+U-relaxed structure gives the simulated X-ray powder pattern in this record (λ = 1.5418 Å (Cu Kα)).
Peak positions follow from Bragg's law for the DFT cell and can differ from measured ones.

Structural model:
Lattice parameters (Å, degrees): 5.3868 7.5748 9.8487 100.14 105.42 90.83
Fractional coordinates of all 23 atoms:
Ba1 0.0000 0.0000 0.0000
Ba2 0.3462 0.9295 0.6659
Mg1 0.6831 0.4136 0.3239
Mn1 0.0572 0.5384 0.1730
Mn2 0.2393 0.4187 0.4640
P1 0.4885 0.3472 0.9906
P2 0.4963 0.7326 0.0472
P3 0.8305 0.2056 0.5692
P4 0.8337 0.5900 0.6445
O1 0.0923 0.6107 0.6081
O2 0.0982 0.2048 0.5393
O3 0.2966 0.7468 0.1345
O4 0.3229 0.2032 0.8757
O5 0.4079 0.3635 0.1349
O6 0.4293 0.5375 0.9390
O7 0.4561 0.8742 0.9512
O8 0.6044 0.5836 0.5052
O9 0.6133 0.2194 0.4327
O10 0.7777 0.7390 0.1363
O11 0.7820 0.3284 0.0213
O12 0.7932 0.0525 0.6437
O13 0.8033 0.7273 0.7689
O14 0.8212 0.3906 0.6838

Principal peaks in the range 2θ from 10° to 80°, in order of falling intensity:
d (Å)  Position (°2θ)  I_rel  hkl
4.664  19.03  100.0  0 0 2
2.694  33.26  99.2  2 0 -1
5.351  16.57  75.8  0 1 1
3.745  23.76  66.1  1 1 -2
2.965  30.14  54.8  -1 2 1
6.431  13.77  52.2  0 1 -1
2.170  41.62  52.0  2 2 -1
3.019  29.59  49.3  1 -1 2